1.
Starting from a crystal structure in Alexandria, relaxed with PBE, the X-ray powder pattern of TaS2F5 was calculated for Cu Ka.

The 10 most intense peaks (10° ≤ 2θ ≤ 80°), by angle:
h k l, 2θ/deg, intensity
0 0 1, 12.49, 56
0 1 0, 14.10, 43
0 1 -1, 18.88, 100
1 0 0, 23.28, 23
1 1 0, 23.40, 16
0 0 2, 25.14, 42
1 1 1, 25.24, 21
1 1 -1, 27.91, 11
0 2 0, 28.42, 18
1 2 0, 31.06, 15

Crystal structure
Cell: 4.030 6.582 7.141 Å, 87.63 82.97 72.62°
Atoms (fractional coordinates):
1 Ta 0.000 0.000 0.000
2 S 0.315 0.424 0.478
3 S 0.823 0.583 0.527
4 F 0.016 0.015 0.262
5 F 0.060 0.705 0.014
6 F 0.141 0.986 0.738
7 F 0.500 0.000 0.999
8 F 0.779 0.295 0.986

2.
Starting from a crystal structure in Alexandria, relaxed with PBE, the X-ray powder pattern of NbVCrCuSi was calculated for Cu Ka.

The 10 most intense peaks (10° ≤ 2θ ≤ 80°), by angle:
h k l, 2θ/deg, intensity
0 0 2, 11.53, 7
1 0 1, 30.59, 11
1 0 3, 34.87, 19
1 0 5, 42.30, 100
1 1 0, 42.97, 54
0 0 10, 60.32, 6
2 0 0, 62.39, 17
1 1 8, 65.88, 7
1 1 10, 76.88, 10
2 1 5, 78.28, 29

Crystal structure
Cell: 2.977 2.977 15.345 Å, 90.00 90.00 90.00°
Atoms (fractional coordinates):
1 Nb 0.000 0.000 0.000
2 Nb 0.500 0.500 0.500
3 V 0.000 0.000 0.783
4 V 0.500 0.500 0.283
5 Cr 0.000 0.000 0.201
6 Cr 0.500 0.500 0.701
7 Cu 0.000 0.000 0.381
8 Cu 0.500 0.500 0.881
9 Si 0.000 0.000 0.616
10 Si 0.500 0.500 0.116